Structure and simulated X-ray powder pattern of BiTePd (a GGA-PBE-relaxed structure; Cu Kα, 1.54184 Å).
Neutral-atom scattering factors, no anomalous dispersion.

```
BiTePd
1.0
4.296 0.000 0.000
0.000 5.539 0.000
0.000 0.000 6.750
Bi Te Pd
2 2 2
direct
0.000 0.023 0.000 Bi
0.500 0.977 0.500 Bi
0.000 0.465 0.733 Te
0.500 0.535 0.233 Te
0.000 0.263 0.365 Pd
0.500 0.737 0.865 Pd
```

The 10 most intense peaks (10 to 90 degrees two-theta), in order of rising 2θ:
two_theta, d (Å), I/Imax, hkl
24.6, 3.624, 20, 1 0 1
26.3, 3.395, 30, 1 1 0
29.5, 3.033, 100, 1 1 1
31.0, 2.882, 73, 0 1 2
41.0, 2.201, 68, 1 2 1
42.1, 2.148, 30, 2 0 0
45.5, 1.993, 35, 1 0 3
53.2, 1.722, 33, 2 1 2
56.9, 1.619, 16, 0 3 2
80.2, 1.197, 23, 2 2 4